1.
Theoretical PXRD pattern
Compound: Pm4Sm5Hg4
Radiation: Cu Kα
Structure: a cell relaxed with PBE

Top 10 peaks for 2θ = 10–90°, in order of rising 2θ:
2theta, I/Imax
27.63, 9
31.34, 100
32.76, 12
33.89, 30
34.69, 21
37.52, 14
43.38, 9
47.86, 9
51.45, 11
59.05, 17

Structure:
```
data_Pm4Sm5Hg4
_chemical_formula_sum 'Pm4 Sm5 Hg4'
_symmetry_space_group_name_H-M 'P 1'
_symmetry_Int_Tables_number 1
_symmetry_space_group_name_Hall 'P 1'
_cell_length_a 9.039
_cell_length_b 9.039
_cell_length_c 9.039
_cell_angle_alpha 94.91
_cell_angle_beta 94.91
_cell_angle_gamma 145.97
loop_
_atom_site_label
_atom_site_type_symbol
_atom_site_fract_x
_atom_site_fract_y
_atom_site_fract_z
Pm1 Pm 0.098 0.389 0.487
Pm2 Pm 0.389 0.902 0.291
Pm3 Pm 0.611 0.098 0.709
Pm4 Pm 0.902 0.611 0.513
Sm1 Sm 0.000 0.000 0.000
Sm2 Sm 0.317 0.617 0.933
Sm3 Sm 0.383 0.317 0.700
Sm4 Sm 0.617 0.683 0.300
Sm5 Sm 0.683 0.383 0.067
Hg1 Hg 0.101 0.765 0.865
Hg2 Hg 0.235 0.101 0.336
Hg3 Hg 0.765 0.899 0.664
Hg4 Hg 0.899 0.235 0.135
```

***

2.
Theoretical PXRD pattern
Compound: Pm3SmHg12
Radiation: Cu Kα
Structure: a cell relaxed with PBE

Top 10 peaks for 2θ = 10–90°, in order of rising 2θ:
2theta, I/Imax
33.15, 100
37.85, 18
38.76, 33
55.30, 24
55.98, 11
65.39, 14
66.63, 27
69.57, 12
80.89, 2
83.17, 4

Structure:
```
data_Pm3SmHg12
_chemical_formula_sum 'Pm3 Sm1 Hg12'
_symmetry_space_group_name_H-M 'P 1'
_symmetry_Int_Tables_number 1
_symmetry_space_group_name_Hall 'P 1'
_cell_length_a 4.646
_cell_length_b 4.646
_cell_length_c 19.014
_cell_angle_alpha 90.00
_cell_angle_beta 90.00
_cell_angle_gamma 90.00
loop_
_atom_site_label
_atom_site_type_symbol
_atom_site_fract_x
_atom_site_fract_y
_atom_site_fract_z
Pm1 Pm 0.000 0.000 0.000
Pm2 Pm 0.000 0.000 0.250
Pm3 Pm 0.000 0.000 0.750
Sm1 Sm 0.000 0.000 0.500
Hg1 Hg 0.000 0.500 0.125
Hg2 Hg 0.000 0.500 0.376
Hg3 Hg 0.000 0.500 0.624
Hg4 Hg 0.000 0.500 0.875
Hg5 Hg 0.500 0.000 0.125
Hg6 Hg 0.500 0.000 0.376
Hg7 Hg 0.500 0.000 0.624
Hg8 Hg 0.500 0.000 0.875
Hg9 Hg 0.500 0.500 0.000
Hg10 Hg 0.500 0.500 0.250
Hg11 Hg 0.500 0.500 0.500
Hg12 Hg 0.500 0.500 0.750
```

***

3.
Theoretical PXRD pattern
Compound: Pm4Sm3Hg
Radiation: Cu Kα
Structure: a cell relaxed with PBE

Top 10 peaks for 2θ = 10–90°, in order of rising 2θ:
2theta, I/Imax
30.56, 100
34.56, 40
37.12, 13
49.68, 14
51.62, 17
59.46, 31
62.89, 6
63.61, 10
81.07, 6
83.24, 7

Structure:
```
data_Pm4Sm3Hg
_chemical_formula_sum 'Pm4 Sm3 Hg1'
_symmetry_space_group_name_H-M 'P 1'
_symmetry_Int_Tables_number 1
_symmetry_space_group_name_Hall 'P 1'
_cell_length_a 3.670
_cell_length_b 3.670
_cell_length_c 19.373
_cell_angle_alpha 90.00
_cell_angle_beta 90.00
_cell_angle_gamma 90.00
loop_
_atom_site_label
_atom_site_type_symbol
_atom_site_fract_x
_atom_site_fract_y
_atom_site_fract_z
Pm1 Pm 0.000 0.000 0.105
Pm2 Pm 0.000 0.000 0.368
Pm3 Pm 0.000 0.000 0.632
Pm4 Pm 0.000 0.000 0.895
Sm1 Sm 0.500 0.500 0.236
Sm2 Sm 0.500 0.500 0.500
Sm3 Sm 0.500 0.500 0.764
Hg1 Hg 0.500 0.500 0.000
```

***

4.
Theoretical PXRD pattern
Compound: Pm2SmHg7
Radiation: Cu Kα
Structure: a cell relaxed with PBE

Top 10 peaks for 2θ = 10–90°, in order of rising 2θ:
2theta, I/Imax
29.90, 37
35.59, 100
35.73, 89
47.15, 11
51.32, 32
56.50, 11
60.44, 10
63.97, 52
75.35, 12
86.29, 15

Structure:
```
data_Pm2SmHg7
_chemical_formula_sum 'Pm2 Sm1 Hg7'
_symmetry_space_group_name_H-M 'P 1'
_symmetry_Int_Tables_number 1
_symmetry_space_group_name_Hall 'P 1'
_cell_length_a 5.046
_cell_length_b 5.046
_cell_length_c 12.286
_cell_angle_alpha 90.00
_cell_angle_beta 90.00
_cell_angle_gamma 120.00
loop_
_atom_site_label
_atom_site_type_symbol
_atom_site_fract_x
_atom_site_fract_y
_atom_site_fract_z
Pm1 Pm 0.000 0.000 0.000
Pm2 Pm 0.333 0.667 0.679
Sm1 Sm 0.667 0.333 0.319
Hg1 Hg 0.000 0.000 0.244
Hg2 Hg 0.000 0.000 0.500
Hg3 Hg 0.000 0.000 0.756
Hg4 Hg 0.333 0.667 0.132
Hg5 Hg 0.333 0.667 0.410
Hg6 Hg 0.667 0.333 0.587
Hg7 Hg 0.667 0.333 0.868
```

***

5.
Theoretical PXRD pattern
Compound: Pm12Sn6Hg
Radiation: Cu Kα
Structure: a cell relaxed with PBE

Top 10 peaks for 2θ = 10–90°, in order of rising 2θ:
2theta, I/Imax
20.59, 21
20.84, 61
24.30, 34
29.76, 28
30.46, 63
34.21, 100
35.04, 97
35.66, 22
44.47, 24
49.79, 24

Structure:
```
data_Pm12Sn6Hg
_chemical_formula_sum 'Pm12 Sn6 Hg1'
_symmetry_space_group_name_H-M 'P 1'
_symmetry_Int_Tables_number 1
_symmetry_space_group_name_Hall 'P 1'
_cell_length_a 9.011
_cell_length_b 9.011
_cell_length_c 9.011
_cell_angle_alpha 100.61
_cell_angle_beta 100.61
_cell_angle_gamma 100.61
loop_
_atom_site_label
_atom_site_type_symbol
_atom_site_fract_x
_atom_site_fract_y
_atom_site_fract_z
Pm1 Pm 0.047 0.674 0.948
Pm2 Pm 0.052 0.953 0.326
Pm3 Pm 0.189 0.419 0.560
Pm4 Pm 0.326 0.052 0.953
Pm5 Pm 0.419 0.560 0.189
Pm6 Pm 0.440 0.811 0.581
Pm7 Pm 0.560 0.189 0.419
Pm8 Pm 0.581 0.440 0.811
Pm9 Pm 0.674 0.948 0.047
Pm10 Pm 0.811 0.581 0.440
Pm11 Pm 0.948 0.047 0.674
Pm12 Pm 0.953 0.326 0.052
Sn1 Sn 0.127 0.623 0.314
Sn2 Sn 0.314 0.127 0.623
Sn3 Sn 0.377 0.686 0.873
Sn4 Sn 0.623 0.314 0.127
Sn5 Sn 0.686 0.873 0.377
Sn6 Sn 0.873 0.377 0.686
Hg1 Hg 0.000 0.000 0.000
```

***

6.
Theoretical PXRD pattern
Compound: Pm2SnHg5
Radiation: Cu Kα
Structure: a cell relaxed with PBE

Top 10 peaks for 2θ = 10–90°, in order of rising 2θ:
2theta, I/Imax
33.16, 100
38.00, 34
39.43, 16
54.70, 6
54.96, 5
55.92, 22
65.52, 14
65.69, 12
67.55, 13
69.50, 6

Structure:
```
data_Pm2SnHg5
_chemical_formula_sum 'Pm4 Sn2 Hg10'
_symmetry_space_group_name_H-M 'P 1'
_symmetry_Int_Tables_number 1
_symmetry_space_group_name_Hall 'P 1'
_cell_length_a 6.683
_cell_length_b 13.423
_cell_length_c 4.570
_cell_angle_alpha 90.00
_cell_angle_beta 90.00
_cell_angle_gamma 90.00
loop_
_atom_site_label
_atom_site_type_symbol
_atom_site_fract_x
_atom_site_fract_y
_atom_site_fract_z
Pm1 Pm 0.231 0.121 0.000
Pm2 Pm 0.269 0.621 0.000
Pm3 Pm 0.731 0.379 0.000
Pm4 Pm 0.769 0.879 0.000
Sn1 Sn 0.000 0.000 0.500
Sn2 Sn 0.500 0.500 0.500
Hg1 Hg 0.000 0.500 0.500
Hg2 Hg 0.023 0.750 0.500
Hg3 Hg 0.233 0.371 0.000
Hg4 Hg 0.267 0.871 0.000
Hg5 Hg 0.477 0.250 0.500
Hg6 Hg 0.500 0.000 0.500
Hg7 Hg 0.523 0.750 0.500
Hg8 Hg 0.733 0.129 0.000
Hg9 Hg 0.767 0.629 0.000
Hg10 Hg 0.977 0.250 0.500
```

***

7.
Theoretical PXRD pattern
Compound: Pm4SnHg2
Radiation: Cu Kα
Structure: a cell relaxed with PBE

Top 10 peaks for 2θ = 10–90°, in order of rising 2θ:
2theta, I/Imax
20.42, 14
25.77, 3
33.65, 100
39.68, 8
48.32, 18
52.97, 4
60.17, 37
64.24, 3
70.74, 11
80.65, 16

Structure:
```
data_Pm4SnHg2
_chemical_formula_sum 'Pm4 Sn1 Hg2'
_symmetry_space_group_name_H-M 'P 1'
_symmetry_Int_Tables_number 1
_symmetry_space_group_name_Hall 'P 1'
_cell_length_a 9.232
_cell_length_b 9.232
_cell_length_c 9.232
_cell_angle_alpha 33.53
_cell_angle_beta 33.53
_cell_angle_gamma 33.53
loop_
_atom_site_label
_atom_site_type_symbol
_atom_site_fract_x
_atom_site_fract_y
_atom_site_fract_z
Pm1 Pm 0.120 0.120 0.120
Pm2 Pm 0.373 0.373 0.373
Pm3 Pm 0.627 0.627 0.627
Pm4 Pm 0.880 0.880 0.880
Sn1 Sn 0.500 0.500 0.500
Hg1 Hg 0.253 0.253 0.253
Hg2 Hg 0.747 0.747 0.747
```

***

8.
Theoretical PXRD pattern
Compound: Pm7Sn2Hg
Radiation: Cu Kα
Structure: a cell relaxed with PBE

Top 10 peaks for 2θ = 10–90°, in order of rising 2θ:
2theta, I/Imax
20.29, 13
28.15, 18
33.39, 100
33.65, 90
48.13, 33
59.68, 19
59.85, 35
60.64, 12
70.14, 12
80.09, 15

Structure:
```
data_Pm7Sn2Hg
_chemical_formula_sum 'Pm7 Sn2 Hg1'
_symmetry_space_group_name_H-M 'P 1'
_symmetry_Int_Tables_number 1
_symmetry_space_group_name_Hall 'P 1'
_cell_length_a 5.367
_cell_length_b 5.367
_cell_length_c 13.001
_cell_angle_alpha 90.00
_cell_angle_beta 90.00
_cell_angle_gamma 120.00
loop_
_atom_site_label
_atom_site_type_symbol
_atom_site_fract_x
_atom_site_fract_y
_atom_site_fract_z
Pm1 Pm 0.000 0.000 0.000
Pm2 Pm 0.000 0.000 0.259
Pm3 Pm 0.000 0.000 0.522
Pm4 Pm 0.333 0.667 0.148
Pm5 Pm 0.333 0.667 0.670
Pm6 Pm 0.667 0.333 0.390
Pm7 Pm 0.667 0.333 0.843
Sn1 Sn 0.000 0.000 0.761
Sn2 Sn 0.667 0.333 0.105
Hg1 Hg 0.333 0.667 0.408
```

***

9.
Theoretical PXRD pattern
Compound: Pm4SnHg3
Radiation: Cu Kα
Structure: a cell relaxed with PBE

Top 10 peaks for 2θ = 10–90°, in order of rising 2θ:
2theta, I/Imax
33.00, 100
33.49, 49
46.61, 9
48.09, 18
58.61, 19
59.56, 37
69.22, 12
77.72, 8
79.95, 8
80.23, 8

Structure:
```
data_Pm4SnHg3
_chemical_formula_sum 'Pm4 Sn1 Hg3'
_symmetry_space_group_name_H-M 'P 1'
_symmetry_Int_Tables_number 1
_symmetry_space_group_name_Hall 'P 1'
_cell_length_a 3.784
_cell_length_b 3.784
_cell_length_c 15.588
_cell_angle_alpha 90.00
_cell_angle_beta 90.00
_cell_angle_gamma 90.00
loop_
_atom_site_label
_atom_site_type_symbol
_atom_site_fract_x
_atom_site_fract_y
_atom_site_fract_z
Pm1 Pm 0.000 0.000 0.123
Pm2 Pm 0.000 0.000 0.371
Pm3 Pm 0.000 0.000 0.629
Pm4 Pm 0.000 0.000 0.877
Sn1 Sn 0.500 0.500 0.500
Hg1 Hg 0.500 0.500 0.000
Hg2 Hg 0.500 0.500 0.244
Hg3 Hg 0.500 0.500 0.756
```

***

10.
Theoretical PXRD pattern
Compound: Pm6Sn3Hg
Radiation: Cu Kα
Structure: a cell relaxed with PBE

Top 10 peaks for 2θ = 10–90°, in order of rising 2θ:
2theta, I/Imax
26.83, 18
27.94, 20
30.28, 100
32.49, 95
34.86, 22
35.11, 31
36.60, 23
38.13, 26
41.52, 15
59.24, 19

Structure:
```
data_Pm6Sn3Hg
_chemical_formula_sum 'Pm12 Sn6 Hg2'
_symmetry_space_group_name_H-M 'P 1'
_symmetry_Int_Tables_number 1
_symmetry_space_group_name_Hall 'P 1'
_cell_length_a 9.854
_cell_length_b 9.854
_cell_length_c 6.787
_cell_angle_alpha 90.00
_cell_angle_beta 90.00
_cell_angle_gamma 106.59
loop_
_atom_site_label
_atom_site_type_symbol
_atom_site_fract_x
_atom_site_fract_y
_atom_site_fract_z
Pm1 Pm 0.062 0.481 0.105
Pm2 Pm 0.068 0.932 0.500
Pm3 Pm 0.259 0.334 0.767
Pm4 Pm 0.283 0.717 0.729
Pm5 Pm 0.334 0.259 0.267
Pm6 Pm 0.481 0.062 0.605
Pm7 Pm 0.519 0.938 0.105
Pm8 Pm 0.666 0.741 0.767
Pm9 Pm 0.717 0.283 0.229
Pm10 Pm 0.741 0.666 0.267
Pm11 Pm 0.932 0.068 0.000
Pm12 Pm 0.938 0.519 0.605
Sn1 Sn 0.018 0.239 0.432
Sn2 Sn 0.239 0.018 0.932
Sn3 Sn 0.420 0.580 0.077
Sn4 Sn 0.580 0.420 0.577
Sn5 Sn 0.761 0.982 0.432
Sn6 Sn 0.982 0.761 0.932
Hg1 Hg 0.237 0.763 0.283
Hg2 Hg 0.763 0.237 0.783
```

***

11.
Theoretical PXRD pattern
Compound: Sr4PmHg5
Radiation: Cu Kα
Structure: a cell relaxed with PBE

Top 10 peaks for 2θ = 10–90°, in order of rising 2θ:
2theta, I/Imax
22.45, 13
31.95, 100
39.40, 4
45.70, 5
45.87, 13
56.87, 11
56.98, 26
66.76, 7
66.89, 4
76.06, 11

Structure:
```
data_Sr4PmHg5
_chemical_formula_sum 'Sr4 Pm1 Hg5'
_symmetry_space_group_name_H-M 'P 1'
_symmetry_Int_Tables_number 1
_symmetry_space_group_name_Hall 'P 1'
_cell_length_a 3.956
_cell_length_b 3.956
_cell_length_c 19.851
_cell_angle_alpha 90.00
_cell_angle_beta 90.00
_cell_angle_gamma 90.00
loop_
_atom_site_label
_atom_site_type_symbol
_atom_site_fract_x
_atom_site_fract_y
_atom_site_fract_z
Sr1 Sr 0.000 0.000 0.102
Sr2 Sr 0.000 0.000 0.306
Sr3 Sr 0.000 0.000 0.694
Sr4 Sr 0.000 0.000 0.898
Pm1 Pm 0.000 0.000 0.500
Hg1 Hg 0.500 0.500 0.000
Hg2 Hg 0.500 0.500 0.204
Hg3 Hg 0.500 0.500 0.412
Hg4 Hg 0.500 0.500 0.588
Hg5 Hg 0.500 0.500 0.796
```

***

12.
Theoretical PXRD pattern
Compound: SrPm3Hg4
Radiation: Cu Kα
Structure: a cell relaxed with PBE

Top 10 peaks for 2θ = 10–90°, in order of rising 2θ:
2theta, I/Imax
32.78, 100
33.07, 49
46.60, 9
47.47, 18
58.32, 19
58.89, 38
68.71, 12
77.58, 8
78.89, 8
79.06, 8

Structure:
```
data_SrPm3Hg4
_chemical_formula_sum 'Sr2 Pm6 Hg8'
_symmetry_space_group_name_H-M 'P 1'
_symmetry_Int_Tables_number 1
_symmetry_space_group_name_Hall 'P 1'
_cell_length_a 10.834
_cell_length_b 7.797
_cell_length_c 5.417
_cell_angle_alpha 90.00
_cell_angle_beta 90.00
_cell_angle_gamma 90.00
loop_
_atom_site_label
_atom_site_type_symbol
_atom_site_fract_x
_atom_site_fract_y
_atom_site_fract_z
Sr1 Sr 0.000 0.000 0.000
Sr2 Sr 0.500 0.000 0.000
Pm1 Pm 0.000 0.500 0.000
Pm2 Pm 0.250 0.000 0.499
Pm3 Pm 0.250 0.500 0.499
Pm4 Pm 0.500 0.500 0.000
Pm5 Pm 0.750 0.000 0.501
Pm6 Pm 0.750 0.500 0.501
Hg1 Hg 0.000 0.259 0.500
Hg2 Hg 0.000 0.741 0.500
Hg3 Hg 0.250 0.259 0.999
Hg4 Hg 0.250 0.741 0.999
Hg5 Hg 0.500 0.259 0.500
Hg6 Hg 0.500 0.741 0.500
Hg7 Hg 0.750 0.259 0.001
Hg8 Hg 0.750 0.741 0.001
```